Record 1
Simulated X-ray powder pattern of BaNdO3 for Cu Kα X-rays, from DFT lattice parameters and positions (PBE).
Neutral-atom scattering factors, no anomalous dispersion.

Atomic structure:
a = 6.4737 Å, b = 6.4737 Å, c = 15.4876 Å
α = 90.00°, β = 90.00°, γ = 120.00°
Space group R-3c (No. 167, hexagonal axes)
Inequivalent atoms, fractional coordinates:
Ba 0.0000 0.0000 0.2500
Nd 0.0000 0.0000 0.0000
O 0.0000 0.4157 0.2500

The 10 most intense peaks (2θ = 10–90°), sorted by position:
Position (°2θ)	I_rel	h k l
27.6	97	1 1 0
28.0	100	1 0 4
39.7	53	0 2 4
48.7	26	3 0 0
49.0	45	2 1 4
49.8	21	0 1 8
56.9	16	2 2 0
57.9	17	2 0 8
64.6	18	1 3 4
65.3	19	1 2 8

***

Record 2
Simulated X-ray powder pattern of Ba2NdPuO6 for Cu Kα X-rays, from DFT lattice parameters and positions (PBE).
Neutral-atom scattering factors, no anomalous dispersion.

Atomic structure:
a = 8.9253 Å, b = 8.9253 Å, c = 8.9253 Å
α = 90.00°, β = 90.00°, γ = 90.00°
Space group Fm-3m (No. 225)
Inequivalent atoms, fractional coordinates:
Ba 0.2500 0.2500 0.2500
Nd 0.0000 0.0000 0.0000
Pu 0.0000 0.0000 0.5000
O 0.0000 0.0000 0.2610

The 10 most intense peaks (2θ = 10–90°), sorted by position:
Position (°2θ)	I_rel	h k l
17.2	5	1 1 1
19.9	7	2 0 0
28.3	100	2 2 0
40.4	28	4 0 0
45.4	3	4 2 0
50.1	42	4 2 2
58.5	18	4 4 0
66.2	19	6 2 0
73.5	6	4 4 4
80.5	22	6 4 2

***

Record 3
Simulated X-ray powder pattern of Ba4NdRu3O12 for Cu Kα X-rays, from DFT lattice parameters and positions (PBE).
Neutral-atom scattering factors, no anomalous dispersion.

Atomic structure:
a = 10.3815 Å, b = 5.9908 Å, c = 10.6450 Å
α = 90.00°, β = 110.21°, γ = 90.00°
Space group C2/m (No. 12)
Inequivalent atoms, fractional coordinates:
Ba 0.1304 0.0000 0.3922
Ba 0.2204 0.5000 0.1531
Nd 0.0000 0.0000 0.0000
Ru 0.0000 0.5000 0.5000
Ru 0.0797 0.5000 0.7555
O 0.0316 0.2662 0.8577
O 0.1183 0.2683 0.6285
O 0.1178 0.5000 0.3825
O 0.2307 0.0000 0.1254

The 10 most intense peaks (2θ = 10–90°), sorted by position:
Position (°2θ)	I_rel	h k l
26.7	23	2 0 -3
27.1	42	1 1 2
29.3	13	1 1 -3
29.8	100	0 2 0
40.5	25	2 2 -3
41.1	13	4 0 1
45.7	10	1 1 -5
52.9	13	3 3 -1
62.0	18	0 4 0
85.8	11	9 1 -3